Starting from a crystal structure in the Materials Project, relaxed with PBE, the PXRD pattern of K2Ni3Se4 was computed for Cu Kα (weighted mean of Kα1 and Kα2).

Atomic structure:
a = 14.345 Å, b = 13.676 Å, c = 6.100 Å
α = 83.65°, β = 71.35°, γ = 25.00°
Sites, in units of the cell vectors:
K 0.049 0.049 0.201
K 0.201 0.201 0.049
K 0.799 0.799 0.951
K 0.951 0.951 0.799
Ni 0.125 0.125 0.625
Ni 0.375 0.375 0.375
Ni 0.375 0.375 0.875
Ni 0.625 0.625 0.125
Ni 0.625 0.625 0.625
Ni 0.875 0.875 0.375
Se 0.152 0.481 0.264
Se 0.264 0.602 0.152
Se 0.398 0.736 0.519
Se 0.481 0.152 0.602
Se 0.519 0.848 0.398
Se 0.602 0.264 0.481
Se 0.736 0.398 0.848
Se 0.848 0.519 0.736

Top 6 peaks for 10° ≤ 2θ ≤ 90°, in order of falling intensity:
2theta  Rel. int.
13.3  1000
29.5  678
37.8  639
17.2  527
35.8  468
42.5  450

***

Starting from a crystal structure in the Materials Project, relaxed with PBE, the PXRD pattern of CeSe2 was computed for Cu Kα (weighted mean of Kα1 and Kα2).

Atomic structure:
a = 9.073 Å, b = 19.612 Å, c = 8.612 Å
α = 90.00°, β = 95.16°, γ = 90.00°
Sites, in units of the cell vectors:
Ce 0.140 0.181 0.187
Ce 0.140 0.319 0.687
Ce 0.270 0.728 0.642
Ce 0.270 0.772 0.142
Ce 0.305 0.517 0.844
Ce 0.305 0.983 0.344
Ce 0.310 0.116 0.769
Ce 0.310 0.384 0.269
Ce 0.690 0.616 0.731
Ce 0.690 0.884 0.231
Ce 0.695 0.017 0.656
Ce 0.695 0.483 0.156
Ce 0.730 0.228 0.858
Ce 0.730 0.272 0.358
Ce 0.860 0.681 0.313
Ce 0.860 0.819 0.813
Se 0.061 0.199 0.854
Se 0.061 0.301 0.354
Se 0.161 0.102 0.463
Se 0.161 0.398 0.963
Se 0.170 0.666 0.333
Se 0.170 0.834 0.833
Se 0.224 0.057 0.054
Se 0.224 0.443 0.554
Se 0.242 0.654 0.931
Se 0.242 0.846 0.431
Se 0.398 0.519 0.171
Se 0.398 0.981 0.671
Se 0.402 0.598 0.593
Se 0.402 0.902 0.093
Se 0.422 0.250 0.206
Se 0.422 0.250 0.706
Se 0.578 0.750 0.294
Se 0.578 0.750 0.794
Se 0.598 0.098 0.907
Se 0.598 0.402 0.407
Se 0.602 0.019 0.329
Se 0.602 0.481 0.829
Se 0.758 0.154 0.569
Se 0.758 0.346 0.069
Se 0.776 0.557 0.446
Se 0.776 0.943 0.946
Se 0.830 0.166 0.167
Se 0.830 0.334 0.667
Se 0.839 0.602 0.037
Se 0.839 0.898 0.537
Se 0.939 0.699 0.646
Se 0.939 0.801 0.146

Top 6 peaks for 10° ≤ 2θ ≤ 90°, in order of falling intensity:
2theta  Rel. int.
19.6  1000
26.5  952
34.2  911
38.4  825
33.7  768
13.3  646

***

Starting from a crystal structure in the Materials Project, relaxed with PBE, the PXRD pattern of PW6Cl17 was computed for Cu Kα (weighted mean of Kα1 and Kα2).

Atomic structure:
a = 10.306 Å, b = 10.306 Å, c = 10.306 Å
α = 141.08°, β = 74.62°, γ = 119.15°
Sites, in units of the cell vectors:
P 0.000 0.000 0.000
W 0.196 0.055 0.141
W 0.197 0.399 0.202
W 0.197 0.994 0.798
W 0.724 0.803 0.921
W 0.883 0.803 0.079
W 0.914 0.055 0.859
Cl 0.054 0.170 0.420
Cl 0.054 0.634 0.884
Cl 0.056 0.556 0.500
Cl 0.080 0.464 0.095
Cl 0.080 0.985 0.615
Cl 0.338 0.055 0.283
Cl 0.352 0.852 0.500
Cl 0.370 0.464 0.385
Cl 0.370 0.985 0.905
Cl 0.387 0.387 0.000
Cl 0.458 0.629 0.829
Cl 0.683 0.439 0.756
Cl 0.683 0.928 0.244
Cl 0.749 0.170 0.116
Cl 0.749 0.634 0.580
Cl 0.772 0.055 0.717
Cl 0.801 0.629 0.171

Top 6 peaks for 10° ≤ 2θ ≤ 90°, in order of falling intensity:
2theta  Rel. int.
10.0  1000
14.0  912
10.8  465
15.4  432
37.2  263
43.6  244